Theoretical powder XRD pattern of Dy4HCN2 for copper Kα, from a GGA-PBE-relaxed structure.
Peak positions follow from Bragg's law for the DFT cell and can differ from measured ones.

Cell and atoms:
a b c (Å): 4.9552 4.9552 9.9761
angles (deg): 90.00 90.00 90.00
Space group I4/mmm (No. 139)
Asymmetric unit:
Dy  0.0000  0.0000  0.2381
Dy  0.0000  0.5000  0.0000
H  0.0000  0.0000  0.5000
C  0.0000  0.0000  0.0000
N  0.0000  0.5000  0.2500

Principal peaks in the range 2θ = 10–90°, most intense first:
two_theta  I/Imax  h k l
31.20  100  1 1 2
36.26  44  2 0 0
62.09  29  3 1 2
52.03  29  2 0 4
36.01  21  0 0 4
52.21  15  2 2 0
65.06  15  2 2 4
61.76  14  1 1 6